CeCl3O3: calculated XRD peak list (Cu Kα, 1.54184 Å), based on a PBE-relaxed structure.
Intensities are scaled so that the largest is 100.

Structural model:
Lattice parameters (Å, degrees): 12.222 8.429 6.788 90.00 90.00 90.00
Space group Pnma (No. 62)
Symmetry-distinct sites (fractional):
Ce  0.014  0.250  0.119 (multiplicity 4)
Cl  0.082  0.046  0.815 (multiplicity 8)
Cl  0.221  0.750  0.998 (multiplicity 4)
O  0.028  0.250  0.419 (multiplicity 4)
O  0.164  0.123  0.275 (multiplicity 8)

Peak list (12 most intense, 10 to 90 degrees two-theta, sorted by position)
hkl, 2theta, d (Å), Rel. int.
2 0 0, 14.5, 6.111, 77.2
1 0 1, 14.9, 5.934, 100.0
0 1 1, 16.8, 5.287, 68.1
0 2 0, 21.1, 4.215, 28.3
2 1 1, 22.2, 3.998, 36.5
1 2 1, 25.9, 3.436, 20.1
4 0 0, 29.3, 3.051, 43.5
0 2 2, 33.9, 2.645, 26.0
3 1 2, 36.1, 2.491, 27.7
4 2 0, 36.3, 2.474, 32.5
2 3 1, 37.6, 2.389, 27.9
1 3 2, 42.4, 2.131, 28.0